Starting from a crystal structure in Alexandria, relaxed with PBE+U, the powder XRD pattern of Pr8Ni4O17 was calculated for a wavelength of 1.5418 Å.

Most intense lines, 2θ from 5° to 70°, low angle first:
- (1 1 1), d 3.727, 23.87°, I 222
- (0 0 4), d 3.139, 28.44°, I 180
- (1 1 -3), d 2.871, 31.16°, I 851
- (-1 1 3), d 2.847, 31.42°, I 771
- (2 0 0), d 2.768, 32.35°, I 1000
- (0 0 6), d 2.091, 43.26°, I 257
- (2 2 0), d 1.957, 46.40°, I 504
- (1 3 -3), d 1.623, 56.73°, I 214
- (-3 1 3), d 1.614, 57.07°, I 154
- (-1 3 3), d 1.610, 57.23°, I 205

Crystal structure
```
data_Pr8Ni4O17
_cell_length_a 5.5298
_cell_length_b 5.5413
_cell_length_c 12.5561
_cell_angle_alpha 90.68
_cell_angle_beta 90.18
_cell_angle_gamma 90.02
_symmetry_space_group_name_H-M 'P 1'
_symmetry_Int_Tables_number 1
loop_
_symmetry_equiv_pos_as_xyz
'x,y,z'
loop_
_atom_site_label
_atom_site_type_symbol
_atom_site_fract_x
_atom_site_fract_y
_atom_site_fract_z
Pr1 Pr 0.0000 0.0000 0.0000
Pr2 Pr 0.0084 0.0177 0.7151
Pr3 Pr 0.4840 0.5335 0.9985
Pr4 Pr 0.4946 0.9965 0.5067
Pr5 Pr 0.5074 0.0333 0.2229
Pr6 Pr 0.5151 0.5215 0.7144
Pr7 Pr 0.9747 0.5205 0.2213
Pr8 Pr 0.9899 0.5077 0.5071
Ni1 Ni 0.4841 0.5205 0.3596
Ni2 Ni 0.4918 0.0216 0.8615
Ni3 Ni 0.9962 0.5081 0.8619
Ni4 Ni 0.9977 0.0263 0.3605
O1 O 0.0253 0.5650 0.0360
O2 O 0.0690 0.0661 0.5217
O3 O 0.2347 0.2875 0.3336
O4 O 0.2414 0.2548 0.8874
O5 O 0.2542 0.7769 0.3353
O6 O 0.2557 0.7615 0.8427
O7 O 0.4007 0.5369 0.5282
O8 O 0.4540 0.0985 0.6930
O9 O 0.4562 0.9636 0.0413
O10 O 0.5464 0.4790 0.1802
O11 O 0.7221 0.2655 0.3791
O12 O 0.7347 0.2653 0.8872
O13 O 0.7466 0.7573 0.3623
O14 O 0.7467 0.7765 0.8601
O15 O 0.7585 0.7743 0.6110
O16 O 0.9449 0.0431 0.1860
O17 O 0.9851 0.4299 0.7008
```